Entry 1:
Simulated XRD peak list of Li2InPb6 for Cu Ka, from a cell relaxed with GGA-PBE.
Kinematic intensities with the Lorentz-polarization factor, no thermal factor.

Structure:
```
9
Lattice="-1.739 4.541 8.337 1.739 -4.541 8.337 1.739 4.541 -8.337" Properties=species:S:1:pos:R:3 pbc="T T T"
Li 0.000 0.000 2.428
Li 0.000 0.000 14.245
In 0.000 4.541 0.000
Pb 1.739 2.933 -2.932
Pb 1.739 1.584 0.000
Pb 1.739 2.933 2.932
Pb 0.000 1.608 5.404
Pb 0.000 2.958 8.337
Pb 0.000 1.608 11.269
```

Main lines, in order of rising 2θ (2θ = 10–90°):
18.72°, I 40
19.55°, I 39
26.17°, I 46
29.51°, I 44
32.21°, I 55
32.87°, I 42
33.71°, I 100
37.35°, I 34
40.97°, I 40
42.50°, I 31
58.39°, I 33
63.96°, I 33

---

Entry 2:
Simulated XRD peak list of LiIn2Pb3 for Cu Ka, from a cell relaxed with GGA-PBE.
Kinematic intensities with the Lorentz-polarization factor, no thermal factor.

Structure:
```
6
Lattice="3.517 0.000 0.000 -0.001 5.772 0.000 -0.103 -0.519 8.230" Properties=species:S:1:pos:R:3 pbc="T T T"
Li 0.000 0.000 0.000
In 1.725 0.844 2.537
In 1.688 4.409 5.693
Pb -0.035 3.841 2.854
Pb 1.758 2.886 0.000
Pb 3.447 1.413 5.376
```

Main lines, in order of rising 2θ (2θ = 10–90°):
15.38°, I 20
18.23°, I 22
27.43°, I 35
31.95°, I 52
32.24°, I 100
32.64°, I 46
36.28°, I 37
36.66°, I 36
39.29°, I 26
52.01°, I 14
54.44°, I 21
62.41°, I 15

---

Entry 3:
Simulated XRD peak list of LiInPb for Cu Ka, from a cell relaxed with GGA-PBE.
Kinematic intensities with the Lorentz-polarization factor, no thermal factor.

Structure:
```
12
Lattice="5.684 0.000 0.000 0.000 9.745 0.000 -2.565 0.000 5.471" Properties=species:S:1:pos:R:3 pbc="T T T"
Li -0.641 0.954 1.368
Li -1.924 8.791 4.103
Li 0.918 3.919 4.103
Li 2.200 5.827 1.368
In -1.924 2.266 4.103
In -0.641 7.479 1.368
In 2.200 2.606 1.368
In 0.918 7.139 4.103
Pb -0.641 4.148 1.368
Pb -1.924 5.597 4.103
Pb 0.918 0.725 4.103
Pb 2.200 9.021 1.368
```

Main lines, in order of rising 2θ (2θ = 10–90°):
19.51°, I 96
24.46°, I 72
31.19°, I 31
32.74°, I 54
33.01°, I 100
34.87°, I 46
36.39°, I 41
36.64°, I 26
39.92°, I 60
53.66°, I 34
56.55°, I 22
67.81°, I 16

---

Entry 4:
Simulated XRD peak list of Li4In2Pb for Cu Ka, from a cell relaxed with GGA-PBE.
Kinematic intensities with the Lorentz-polarization factor, no thermal factor.

Structure:
```
14
Lattice="3.195 0.000 0.000 0.000 4.653 0.000 0.000 0.000 19.164" Properties=species:S:1:pos:R:3 pbc="T T T"
Li 0.000 0.000 1.319
Li 0.000 0.000 17.845
Li 0.000 2.326 2.726
Li 0.000 2.326 16.438
Li 1.598 0.000 6.856
Li 1.598 0.000 12.308
Li 1.598 2.326 8.263
Li 1.598 2.326 10.901
In 0.000 2.326 5.665
In 0.000 2.326 13.499
In 1.598 0.000 3.917
In 1.598 0.000 15.247
Pb 0.000 0.000 9.582
Pb 1.598 2.326 0.000
```

Main lines, in order of rising 2θ (2θ = 10–90°):
18.52°, I 54
19.63°, I 20
23.66°, I 100
28.32°, I 30
35.34°, I 89
36.61°, I 47
38.14°, I 41
38.70°, I 22
48.64°, I 14
51.57°, I 32
54.33°, I 30
68.74°, I 14

---

Entry 5:
Simulated XRD peak list of Li2In5Pb5 for Cu Ka, from a cell relaxed with GGA-PBE.
Kinematic intensities with the Lorentz-polarization factor, no thermal factor.

Structure:
```
12
Lattice="6.922 -2.400 0.000 6.922 2.400 0.000 -4.466 0.000 9.868" Properties=species:S:1:pos:R:3 pbc="T T T"
Li 0.004 0.000 2.528
Li 9.374 0.000 7.339
In 2.320 0.000 4.889
In 4.758 0.000 2.540
In 6.922 0.000 0.000
In 4.621 0.000 7.328
In 7.059 0.000 4.979
Pb -2.233 0.000 4.934
Pb -2.273 0.000 9.838
Pb 0.248 0.000 7.422
Pb 9.130 0.000 2.446
Pb 11.652 0.000 0.030
```

Main lines, in order of rising 2θ (2θ = 10–90°):
28.79°, I 12
32.29°, I 100
32.63°, I 99
36.42°, I 37
37.47°, I 35
39.04°, I 29
53.25°, I 25
55.22°, I 21
62.75°, I 14
63.36°, I 15
64.36°, I 14
64.56°, I 14

---

Entry 6:
Simulated XRD peak list of Li3InPb for Cu Ka, from a cell relaxed with GGA-PBE.
Kinematic intensities with the Lorentz-polarization factor, no thermal factor.

Structure:
```
10
Lattice="4.795 0.000 0.000 0.000 6.411 0.000 -2.378 0.000 6.815" Properties=species:S:1:pos:R:3 pbc="T T T"
Li 0.000 1.603 0.007
Li 0.008 6.410 2.570
Li 0.008 3.206 2.570
Li 2.409 0.001 4.245
Li 2.409 3.205 4.245
Li 2.417 4.808 6.808
In 0.010 1.603 5.162
In 2.407 4.808 1.653
Pb 0.010 4.808 5.184
Pb 2.407 1.603 1.631
```

Main lines, in order of rising 2θ (2θ = 10–90°):
19.01°, I 15
19.63°, I 100
26.15°, I 49
27.03°, I 38
27.83°, I 43
34.29°, I 55
37.51°, I 22
37.97°, I 29
38.56°, I 36
39.19°, I 34
47.35°, I 20
47.73°, I 26

---

Entry 7:
Simulated XRD peak list of Li6InPb12 for Cu Ka, from a cell relaxed with GGA-PBE.
Kinematic intensities with the Lorentz-polarization factor, no thermal factor.

Structure:
```
19
Lattice="6.422 3.708 3.815 -6.422 3.708 3.815 0.000 -7.416 3.815" Properties=species:S:1:pos:R:3 pbc="T T T"
Li -1.265 -1.406 2.294
Li -0.585 1.799 2.294
Li 1.850 -0.393 2.294
Li -1.850 0.393 9.150
Li 0.585 -1.799 9.150
Li 1.265 1.406 9.150
In 0.000 0.000 5.722
Pb -0.703 -4.488 3.145
Pb -3.535 2.853 3.145
Pb -2.153 -2.302 5.034
Pb -4.239 -1.635 8.299
Pb -3.070 0.713 6.411
Pb 0.917 -3.015 6.411
Pb -0.917 3.015 5.034
Pb 3.070 -0.713 5.034
Pb 4.239 1.635 3.145
Pb 2.153 2.302 6.411
Pb 3.535 -2.853 8.299
Pb 0.703 4.488 8.299
```

Main lines, in order of rising 2θ (2θ = 10–90°):
13.79°, I 28
17.43°, I 20
26.30°, I 100
32.99°, I 34
35.28°, I 18
37.04°, I 51
38.04°, I 39
38.63°, I 18
46.00°, I 14
47.74°, I 11
54.11°, I 16
61.87°, I 18

---

Entry 8:
Simulated XRD peak list of LiIn7Pb12 for Cu Ka, from a cell relaxed with GGA-PBE.
Kinematic intensities with the Lorentz-polarization factor, no thermal factor.

Structure:
```
20
Lattice="6.202 0.000 0.000 1.197 8.982 0.000 2.569 4.070 10.685" Properties=species:S:1:pos:R:3 pbc="T T T"
Li 0.000 0.000 0.000
In 2.624 8.304 2.891
In 3.957 6.295 9.188
In 5.130 11.921 8.310
In 3.101 0.000 0.000
In 4.838 1.131 2.376
In 6.011 6.758 1.497
In 7.344 4.749 7.794
Pb 2.297 7.969 6.328
Pb 1.529 2.653 1.769
Pb 4.025 10.846 4.916
Pb 2.757 5.907 0.433
Pb 4.383 5.237 6.136
Pb 5.410 8.738 7.783
Pb 4.557 4.314 2.902
Pb 5.584 7.816 4.549
Pb 7.211 7.146 10.252
Pb 5.942 2.207 5.769
Pb 8.439 10.399 8.917
Pb 7.671 5.083 4.357
```

Main lines, in order of rising 2θ (2θ = 10–90°):
29.20°, I 44
30.33°, I 40
30.44°, I 40
31.61°, I 100
31.99°, I 75
32.71°, I 88
33.15°, I 73
33.41°, I 70
33.57°, I 36
34.04°, I 43
35.25°, I 35
35.83°, I 54

---

Entry 9:
Simulated XRD peak list of LiIn3Pb for Cu Ka, from a cell relaxed with GGA-PBE.
Kinematic intensities with the Lorentz-polarization factor, no thermal factor.

Structure:
```
20
Lattice="5.917 0.000 0.000 0.000 11.264 0.000 0.000 0.000 7.872" Properties=species:S:1:pos:R:3 pbc="T T T"
Li 0.047 2.816 0.645
Li 2.911 8.448 4.581
Li 3.006 2.816 3.291
Li 5.869 8.448 7.227
In 0.001 1.276 3.098
In 0.001 4.356 3.098
In 5.915 6.908 4.774
In 5.915 9.988 4.774
In 1.469 8.448 1.936
In 1.490 2.816 5.872
In 2.960 1.276 0.838
In 2.960 4.356 0.838
In 2.957 6.908 7.034
In 2.957 9.988 7.034
In 4.427 8.448 1.999
In 4.448 2.816 5.935
Pb 0.000 0.000 0.000
Pb 0.000 5.632 0.000
Pb 2.958 0.000 3.936
Pb 2.958 5.632 3.936
```

Main lines, in order of rising 2θ (2θ = 10–90°):
24.58°, I 57
26.30°, I 47
27.65°, I 78
28.36°, I 29
30.21°, I 31
33.32°, I 42
34.24°, I 52
36.39°, I 28
37.16°, I 100
37.50°, I 30
38.05°, I 45
50.39°, I 30

---

Entry 10:
Simulated XRD peak list of Li6In5Pb for Cu Ka, from a cell relaxed with GGA-PBE.
Kinematic intensities with the Lorentz-polarization factor, no thermal factor.

Structure:
```
12
Lattice="4.171 -7.264 0.000 4.171 7.264 0.000 -2.797 0.000 3.983" Properties=species:S:1:pos:R:3 pbc="T T T"
Li -0.017 2.432 2.984
Li 1.365 0.000 0.986
Li -0.017 -2.432 2.984
Li 5.563 2.432 0.999
Li 4.180 0.000 2.997
Li 5.563 -2.432 0.999
In -1.398 0.000 1.991
In 4.171 4.849 0.000
In 2.773 2.469 1.991
In 2.773 -2.469 1.991
In 4.171 -4.849 0.000
Pb 4.171 0.000 0.000
```

Main lines, in order of rising 2θ (2θ = 10–90°):
25.96°, I 100
26.11°, I 49
36.98°, I 70
37.13°, I 23
37.29°, I 45
45.55°, I 11
45.95°, I 22
46.04°, I 11
53.38°, I 16
60.16°, I 19
60.40°, I 18
67.01°, I 16

---

Entry 11:
Simulated XRD peak list of LiPrInPb for Cu Ka, from a cell relaxed with GGA-PBE.
Kinematic intensities with the Lorentz-polarization factor, no thermal factor.

Structure:
```
4
Lattice="4.631 0.000 0.000 0.000 4.725 0.000 0.000 0.000 4.818" Properties=species:S:1:pos:R:3 pbc="T T T"
Li 0.000 0.000 0.000
Pr 0.000 2.362 2.409
In 2.315 2.362 0.000
Pb 2.315 0.000 2.409
```

Main lines, in order of rising 2θ (2θ = 10–90°):
18.41°, I 23
19.17°, I 13
26.42°, I 12
26.96°, I 19
32.85°, I 100
37.33°, I 18
38.09°, I 17
38.89°, I 16
54.39°, I 12
64.50°, I 14
65.53°, I 14
66.63°, I 13

---

Entry 12:
Simulated XRD peak list of LiInPb2S4 for Cu Ka, from a cell relaxed with GGA-PBE.
Kinematic intensities with the Lorentz-polarization factor, no thermal factor.

Structure:
```
16
Lattice="8.379 0.000 0.000 0.000 8.764 0.000 -4.157 0.000 5.358" Properties=species:S:1:pos:R:3 pbc="T T T"
Li 0.000 0.000 0.000
Li 4.189 4.382 0.000
In -2.079 2.092 2.679
In 2.111 6.474 2.679
Pb 0.000 4.712 0.000
Pb -2.079 6.826 2.679
Pb 4.189 0.330 0.000
Pb 2.111 2.444 2.679
S -0.068 0.579 2.452
S -1.946 2.897 5.073
S 1.978 7.279 0.285
S 0.101 4.961 2.906
S 4.121 4.961 2.452
S 2.244 7.279 5.073
S 6.167 2.897 0.285
S 4.290 0.579 2.906
```

Main lines, in order of rising 2θ (2θ = 10–90°):
16.82°, I 78
26.27°, I 58
26.94°, I 25
27.10°, I 25
28.96°, I 21
29.50°, I 100
33.47°, I 51
43.19°, I 19
45.09°, I 29
45.29°, I 29
49.96°, I 24
54.10°, I 22